Entry 1:
This entry pairs a crystal structure of TlAg3PtO4 with its theoretical powder X-ray diffraction pattern. Radiation: a wavelength of 1.5418 Å. Structure: the GGA-PBE geometry in OQMD.

Cell and atoms:
a = 5.3411 Å, b = 5.3411 Å, c = 5.3411 Å
α = 90.00°, β = 90.00°, γ = 90.00°
Sites, in units of the cell vectors:
Tl: 0.0000 0.0000 0.0000
Ag: 0.0000 0.5000 0.5000
Ag: 0.5000 0.0000 0.5000
Ag: 0.5000 0.5000 0.0000
Pt: 0.5000 0.5000 0.5000
O: 0.2410 0.2410 0.2410
O: 0.2410 0.7590 0.7590
O: 0.7590 0.2410 0.7590
O: 0.7590 0.7590 0.2410

Largest 8 diffraction maxima, low angle first, 2θ from 10° to 90°:
2θ 23.56, I 84; 2θ 28.96, I 55; 2θ 33.56, I 98; 2θ 41.41, I 40; 2θ 48.19, I 100; 2θ 57.20, I 22; 2θ 60.00, I 25; 2θ 80.41, I 33

Entry 2:
This entry pairs a crystal structure of Cs2SrNb4O12 with its theoretical powder X-ray diffraction pattern. Radiation: a wavelength of 1.5418 Å. Structure: the GGA-PBE geometry in OQMD.

Cell and atoms:
a = 8.2441 Å, b = 8.2441 Å, c = 5.7832 Å
α = 90.00°, β = 90.00°, γ = 90.00°
Sites, in units of the cell vectors:
Cs: 0.0000 0.5000 0.0000
Cs: 0.5000 0.0000 0.0000
Sr: 0.0000 0.0000 0.0000
Nb: 0.2693 0.2693 0.5000
Nb: 0.2693 0.7307 0.5000
Nb: 0.7307 0.2693 0.5000
Nb: 0.7307 0.7307 0.5000
O: 0.1826 0.1826 0.2433
O: 0.1826 0.1826 0.7567
O: 0.1826 0.8174 0.2433
O: 0.1826 0.8174 0.7567
O: 0.2195 0.5000 0.5000
O: 0.5000 0.2195 0.5000
O: 0.5000 0.7805 0.5000
O: 0.7805 0.5000 0.5000
O: 0.8174 0.1826 0.2433
O: 0.8174 0.1826 0.7567
O: 0.8174 0.8174 0.2433
O: 0.8174 0.8174 0.7567

Largest 8 diffraction maxima, low angle first, 2θ from 10° to 90°:
2θ 26.56, I 100; 2θ 30.67, I 34; 2θ 30.92, I 14; 2θ 43.93, I 13; 2θ 44.12, I 17; 2θ 52.07, I 28; 2θ 52.40, I 15; 2θ 54.69, I 14

Entry 3:
This entry pairs a crystal structure of CuAg4 with its theoretical powder X-ray diffraction pattern. Radiation: a wavelength of 1.5418 Å. Structure: the GGA-PBE geometry in OQMD.

Cell and atoms:
a = 4.9642 Å, b = 2.8914 Å, c = 11.7817 Å
α = 90.00°, β = 97.54°, γ = 90.00°
Sites, in units of the cell vectors:
Cu: 0.1008 0.0000 0.3041
Cu: 0.8992 0.0000 0.6959
Ag: 0.0000 0.5000 0.5000
Ag: 0.1971 0.5000 0.1098
Ag: 0.2971 0.0000 0.9007
Ag: 0.3944 0.5000 0.6991
Ag: 0.5000 0.0000 0.5000
Ag: 0.6056 0.5000 0.3009
Ag: 0.7029 0.0000 0.0993
Ag: 0.8029 0.5000 0.8902

Largest 8 diffraction maxima, low angle first, 2θ from 10° to 90°:
2θ 38.32, I 100; 2θ 38.54, I 32; 2θ 44.43, I 43; 2θ 44.95, I 20; 2θ 64.91, I 19; 2θ 65.18, I 12; 2θ 77.56, I 8; 2θ 78.43, I 11

Entry 4:
This entry pairs a crystal structure of Cu7Ag3 with its theoretical powder X-ray diffraction pattern. Radiation: a wavelength of 1.5418 Å. Structure: the GGA-PBE geometry in OQMD.

Cell and atoms:
a = 4.6211 Å, b = 8.0229 Å, c = 11.6796 Å
α = 78.59°, β = 82.14°, γ = 73.44°
Sites, in units of the cell vectors:
Cu: 0.0000 0.0000 0.0000
Cu: 0.0000 0.5337 0.2811
Cu: 0.0718 0.4845 0.6742
Cu: 0.1059 0.3959 0.0992
Cu: 0.1443 0.8645 0.7784
Cu: 0.2025 0.3296 0.4699
Cu: 0.2142 0.8076 0.1824
Cu: 0.3028 0.7488 0.5811
Cu: 0.3410 0.2074 0.2805
Cu: 0.4508 0.0637 0.0973
Cu: 0.5387 0.0042 0.4761
Cu: 0.5611 0.4601 0.1869
Cu: 0.6743 0.8724 0.2793
Cu: 0.6841 0.3290 0.0014
Cu: 0.7496 0.8012 0.6733
Cu: 0.7687 0.2697 0.3750
Cu: 0.7710 0.7300 0.0990
Cu: 0.8666 0.6777 0.4816
Cu: 0.8879 0.1381 0.1829
Cu: 0.9152 0.5993 0.8888
Cu: 0.9685 0.0626 0.5764
Ag: 0.1012 0.9457 0.3781
Ag: 0.2469 0.2740 0.8995
Ag: 0.3289 0.6596 0.9957
Ag: 0.3948 0.1300 0.6737
Ag: 0.4332 0.6048 0.3761
Ag: 0.4976 0.5468 0.7816
Ag: 0.5827 0.9230 0.8911
Ag: 0.6504 0.4030 0.5757
Ag: 0.8335 0.1968 0.7897

Largest 8 diffraction maxima, low angle first, 2θ from 10° to 90°:
2θ 41.25, I 100; 2θ 41.48, I 98; 2θ 48.07, I 64; 2θ 48.27, I 28; 2θ 70.28, I 9; 2θ 70.41, I 18; 2θ 85.00, I 20; 2θ 85.23, I 10

Entry 5:
This entry pairs a crystal structure of HoZn with its theoretical powder X-ray diffraction pattern. Radiation: a wavelength of 1.5418 Å. Structure: the GGA-PBE geometry in OQMD.

Cell and atoms:
a = 3.5447 Å, b = 3.5447 Å, c = 3.5447 Å
α = 90.00°, β = 90.00°, γ = 90.00°
Sites, in units of the cell vectors:
Ho: 0.0000 0.0000 0.0000
Zn: 0.5000 0.5000 0.5000

Largest 8 diffraction maxima, low angle first, 2θ from 10° to 90°:
2θ 25.12, I 19; 2θ 35.83, I 100; 2θ 44.26, I 6; 2θ 51.57, I 18; 2θ 58.20, I 8; 2θ 64.38, I 36; 2θ 75.93, I 11; 2θ 86.91, I 16

Entry 6:
This entry pairs a crystal structure of Sr2AgIr with its theoretical powder X-ray diffraction pattern. Radiation: a wavelength of 1.5418 Å. Structure: the GGA-PBE geometry in OQMD.

Cell and atoms:
a = 5.1439 Å, b = 5.1439 Å, c = 5.1439 Å
α = 60.00°, β = 60.00°, γ = 60.00°
Sites, in units of the cell vectors:
Sr: 0.0000 0.0000 0.0000
Sr: 0.2500 0.2500 0.2500
Ag: 0.5000 0.5000 0.5000
Ir: 0.7500 0.7500 0.7500

Largest 8 diffraction maxima, low angle first, 2θ from 10° to 90°:
2θ 21.15, I 11; 2θ 24.47, I 3; 2θ 34.88, I 100; 2θ 41.16, I 6; 2θ 50.16, I 18; 2θ 62.55, I 36; 2θ 73.67, I 11; 2θ 84.17, I 16

Entry 7:
This entry pairs a crystal structure of Ta2NbIr with its theoretical powder X-ray diffraction pattern. Radiation: a wavelength of 1.5418 Å. Structure: the GGA-PBE geometry in OQMD.

Cell and atoms:
a = 5.1825 Å, b = 5.1825 Å, c = 5.1418 Å
α = 90.00°, β = 90.00°, γ = 90.00°
Sites, in units of the cell vectors:
Ta: 0.0000 0.2493 0.0000
Ta: 0.0000 0.7507 0.0000
Ta: 0.2493 0.0000 0.5000
Ta: 0.7507 0.0000 0.5000
Nb: 0.5000 0.5000 0.2500
Nb: 0.5000 0.5000 0.7500
Ir: 0.0000 0.5000 0.5000
Ir: 0.5000 0.0000 0.0000

Largest 8 diffraction maxima, low angle first, 2θ from 10° to 90°:
2θ 34.62, I 27; 2θ 34.90, I 33; 2θ 38.90, I 97; 2θ 39.11, I 36; 2θ 42.80, I 100; 2θ 42.97, I 29; 2θ 67.68, I 26; 2θ 68.03, I 26

Entry 8:
This entry pairs a crystal structure of NaYZnSe3 with its theoretical powder X-ray diffraction pattern. Radiation: a wavelength of 1.5418 Å. Structure: the GGA-PBE geometry in OQMD.

Cell and atoms:
a = 4.0665 Å, b = 11.0032 Å, c = 13.5609 Å
α = 90.05°, β = 90.04°, γ = 90.01°
Sites, in units of the cell vectors:
Na: 0.2491 0.2121 0.0047
Na: 0.2505 0.7132 0.4954
Na: 0.7495 0.2868 0.5046
Na: 0.7509 0.7879 0.9953
Y: 0.2499 0.4873 0.2394
Y: 0.2502 0.9874 0.2605
Y: 0.7498 0.0126 0.7395
Y: 0.7501 0.5127 0.7606
Zn: 0.2497 0.2614 0.7174
Zn: 0.2506 0.7615 0.7820
Zn: 0.7494 0.2385 0.2180
Zn: 0.7503 0.7386 0.2826
Se: 0.2497 0.0874 0.6053
Se: 0.2497 0.2409 0.3300
Se: 0.2495 0.4488 0.6198
Se: 0.2504 0.5881 0.8944
Se: 0.2500 0.7409 0.1703
Se: 0.2502 0.9492 0.8801
Se: 0.7498 0.0508 0.1199
Se: 0.7500 0.2591 0.8297
Se: 0.7496 0.4119 0.1056
Se: 0.7505 0.5512 0.3802
Se: 0.7503 0.7591 0.6700
Se: 0.7503 0.9126 0.3947

Largest 8 diffraction maxima, low angle first, 2θ from 10° to 90°:
2θ 13.06, I 100; 2θ 27.65, I 51; 2θ 29.55, I 36; 2θ 30.67, I 71; 2θ 33.83, I 90; 2θ 43.34, I 45; 2θ 44.56, I 37; 2θ 47.27, I 36

Entry 9:
This entry pairs a crystal structure of Pr3LuPt4 with its theoretical powder X-ray diffraction pattern. Radiation: a wavelength of 1.5418 Å. Structure: the GGA-PBE geometry in OQMD.

Cell and atoms:
a = 5.6843 Å, b = 4.5876 Å, c = 7.2626 Å
α = 90.00°, β = 90.97°, γ = 90.00°
Sites, in units of the cell vectors:
Pr: 0.0000 0.0000 0.0000
Pr: 0.2196 0.0000 0.4948
Pr: 0.7175 0.5000 0.6312
Lu: 0.4983 0.5000 0.1333
Pt: 0.0146 0.5000 0.2655
Pt: 0.2130 0.5000 0.7803
Pt: 0.5097 0.0000 0.8782
Pt: 0.6940 0.0000 0.3428

Largest 8 diffraction maxima, low angle first, 2θ from 10° to 90°:
2θ 31.43, I 100; 2θ 33.67, I 33; 2θ 35.06, I 58; 2θ 35.45, I 74; 2θ 39.13, I 60; 2θ 39.28, I 65; 2θ 39.48, I 59; 2θ 52.67, I 32

Entry 10:
This entry pairs a crystal structure of CdSnMo4N2 with its theoretical powder X-ray diffraction pattern. Radiation: a wavelength of 1.5418 Å. Structure: the GGA-PBE geometry in OQMD.

Cell and atoms:
a = 3.2044 Å, b = 3.2044 Å, c = 13.4191 Å
α = 90.00°, β = 90.00°, γ = 120.00°
Sites, in units of the cell vectors:
Cd: 0.0000 0.0000 0.0000
Sn: 0.6667 0.3333 0.5000
Mo: 0.0000 0.0000 0.3311
Mo: 0.0000 0.0000 0.6689
Mo: 0.6667 0.3333 0.1778
Mo: 0.6667 0.3333 0.8222
N: 0.3333 0.6667 0.2514
N: 0.3333 0.6667 0.7486

Largest 8 diffraction maxima, low angle first, 2θ from 10° to 90°:
2θ 32.26, I 22; 2θ 38.16, I 100; 2θ 40.33, I 17; 2θ 52.55, I 14; 2θ 57.52, I 21; 2θ 71.14, I 16; 2θ 71.88, I 13; 2θ 72.58, I 18